Diffraction record for MnTl2AgSe4. The X-ray diffraction stick pattern is simulated, not measured: it uses a crystal structure in Alexandria, relaxed with PBE and Cu Kα.
Kinematic intensities with the Lorentz-polarization factor, no thermal factor.

Lattice parameters (Å, degrees): 8.8694 12.2850 6.2707 90.00 134.98 90.00
Space group C2 (No. 5)
Asymmetric unit:
1 Mn 0.0000 0.0000 0.0000 (multiplicity 2)
2 Tl 0.0000 0.4996 0.0000 (multiplicity 2)
3 Tl 0.0000 0.7499 0.5000 (multiplicity 2)
4 Ag 0.0000 0.2497 0.5000 (multiplicity 2)
5 Se 0.2154 0.1225 0.9877 (multiplicity 4)
6 Se 0.2278 0.8773 0.4426 (multiplicity 4)

Largest 8 diffraction maxima, by angle, 15° ≤ 2θ ≤ 90°:
Position (°2θ), I_rel
24.76, 100
32.75, 11
40.69, 23
41.14, 47
48.21, 31
49.00, 16
65.51, 14
74.35, 13